Record 1
For BaReH9, the PBE geometry in the Materials Project gives the computed powder diffractogram in this record (Cu Kα).
No peak broadening, texture or thermal motion is included.

Structural model:
abc: 5.2075 9.4072 9.3657
angles: 90.00 90.00 90.00
Space group Cmcm (No. 63)
Asymmetric unit:
Ba  0.0000  0.0000  0.0000 x4
Re  0.0000  0.3159  0.2500 x4
H  0.0000  0.1376  0.2500 x4
H  0.0000  0.3894  0.0853 x8
H  0.2136  0.4549  0.2500 x8
H  0.2432  0.2500  0.1484 x16

Principal peaks in the range 2θ from 15° to 90°, by intensity:
hkl 1 1 1, d 4.097, 2θ = 21.69°, intensity 100
hkl 1 1 2, d 3.265, 2θ = 27.31°, intensity 81
hkl 0 2 2, d 3.319, 2θ = 26.87°, intensity 66
hkl 1 3 0, d 2.686, 2θ = 33.35°, intensity 54
hkl 2 0 0, d 2.603, 2θ = 34.45°, intensity 35
hkl 2 2 2, d 2.048, 2θ = 44.21°, intensity 35
hkl 0 2 1, d 4.203, 2θ = 21.14°, intensity 34
hkl 1 1 3, d 2.576, 2θ = 34.83°, intensity 32
hkl 1 3 4, d 1.765, 2θ = 51.80°, intensity 31
hkl 1 5 2, d 1.655, 2θ = 55.52°, intensity 24

---

Record 2
For IF3, the PBE geometry in the Materials Project gives the computed powder diffractogram in this record (Cu Kα).
No peak broadening, texture or thermal motion is included.

Structural model:
abc: 9.1244 6.7551 4.7286
angles: 90.00 90.00 90.00
Space group Pnma (No. 62)
Asymmetric unit:
I  0.1876  0.2500  0.0232 x4
F  0.0658  0.2500  0.3515 x4
F  0.1688  0.5440  0.0860 x8

Principal peaks in the range 2θ from 15° to 90°, by intensity:
hkl 1 1 1, d 3.566, 2θ = 24.97°, intensity 100
hkl 2 1 0, d 3.781, 2θ = 23.53°, intensity 50
hkl 3 0 1, d 2.558, 2θ = 35.08°, intensity 46
hkl 2 0 0, d 4.562, 2θ = 19.46°, intensity 42
hkl 1 3 1, d 1.984, 2θ = 45.72°, intensity 32
hkl 0 2 0, d 3.378, 2θ = 26.39°, intensity 26
hkl 1 0 1, d 4.198, 2θ = 21.16°, intensity 21
hkl 3 2 1, d 2.039, 2θ = 44.43°, intensity 17
hkl 2 3 0, d 2.019, 2θ = 44.89°, intensity 16
hkl 0 0 2, d 2.364, 2θ = 38.06°, intensity 14

---

Record 3
For Nb3NiS6, the PBE geometry in the Materials Project gives the computed powder diffractogram in this record (Cu Kα).
No peak broadening, texture or thermal motion is included.

Structural model:
abc: 5.7911 5.7911 11.8547
angles: 90.00 90.00 120.00
Space group P6_322 (No. 182)
Asymmetric unit:
Nb  0.0000  0.0000  0.0000 x2
Nb  0.3333  0.6667  0.0031 x4
Ni  0.3333  0.6667  0.7500 x2
S  0.0009  0.3327  0.6325 x12

Principal peaks in the range 2θ from 15° to 90°, by intensity:
hkl 1 1 4, d 2.071, 2θ = 43.71°, intensity 100
hkl 1 1 2, d 2.602, 2θ = 34.47°, intensity 53
hkl 1 1 0, d 2.896, 2θ = 30.88°, intensity 42
hkl 3 0 0, d 1.672, 2θ = 54.92°, intensity 36
hkl 2 2 4, d 1.301, 2θ = 72.69°, intensity 21
hkl 3 0 8, d 1.109, 2θ = 88.09°, intensity 18
hkl 1 1 1, d 2.813, 2θ = 31.81°, intensity 17
hkl 1 1 3, d 2.336, 2θ = 38.55°, intensity 13
hkl 1 0 1, d 4.619, 2θ = 19.22°, intensity 13
hkl 3 0 2, d 1.609, 2θ = 57.26°, intensity 9

---

Record 4
For Pr2Mn17C2, the PBE geometry in the Materials Project gives the computed powder diffractogram in this record (Cu Kα).
No peak broadening, texture or thermal motion is included.

Structural model:
abc: 9.6439 8.7315 6.4821
angles: 90.00 98.61 90.00
Space group C2/m (No. 12)
Asymmetric unit:
Pr  0.1413  0.0000  0.3412 x4
Mn  0.0000  0.2341  0.0000 x4
Mn  0.0000  0.5000  0.5000 x2
Mn  0.0940  0.5000  0.9060 x4
Mn  0.1022  0.2671  0.6639 x8
Mn  0.1446  0.3630  0.2806 x8
Mn  0.1574  0.0000  0.8718 x4
Mn  0.2500  0.2500  0.0000 x4
C  0.2500  0.2500  0.5000 x4

Principal peaks in the range 2θ from 15° to 90°, by intensity:
hkl 3 3 0, d 2.147, 2θ = 42.08°, intensity 100
hkl 2 2 2, d 2.164, 2θ = 41.73°, intensity 81
hkl 4 0 -2, d 2.067, 2θ = 43.79°, intensity 67
hkl 0 0 3, d 2.135, 2θ = 42.34°, intensity 53
hkl 1 1 -2, d 2.996, 2θ = 29.82°, intensity 45
hkl 0 4 0, d 2.183, 2θ = 41.36°, intensity 44
hkl 2 2 -2, d 2.396, 2θ = 37.54°, intensity 44
hkl 1 3 1, d 2.513, 2θ = 35.72°, intensity 39
hkl 5 3 1, d 1.505, 2θ = 61.65°, intensity 31
hkl 4 2 0, d 2.092, 2θ = 43.25°, intensity 29